The following is a calculated X-ray powder pattern of Na4Zr2TiC4O16. It was derived from a DFT-relaxed cell (GGA-PBE, Alexandria), using CuKα.
Intensities are scaled so that the largest is 1000.

Most intense lines, 15° ≤ 2θ ≤ 90°, sorted by position:
- 19.45°, I 362
- 26.97°, I 988
- 28.29°, I 385
- 29.35°, I 1000
- 29.96°, I 373
- 31.95°, I 409
- 32.37°, I 485
- 33.65°, I 380
- 48.51°, I 326
- 49.98°, I 325

Atomic structure:
Unit cell a=6.1556 b=6.1556 c=18.3037 alpha=93.39 beta=93.39 gamma=66.22
Fractional positions:
Na (0.0346, 0.1755, 0.0821)
Na (0.1755, 0.0346, 0.5821)
Na (0.2778, 0.4659, 0.4355)
Na (0.4659, 0.2778, 0.9355)
Na (0.5341, 0.7222, 0.0645)
Na (0.7222, 0.5341, 0.5645)
Na (0.8245, 0.9654, 0.4179)
Na (0.9654, 0.8245, 0.9179)
Zr (0.1328, 0.4821, 0.7521)
Zr (0.4821, 0.1328, 0.2521)
Zr (0.5179, 0.8672, 0.7479)
Zr (0.8672, 0.5179, 0.2479)
Ti (0.1788, 0.8212, 0.2500)
Ti (0.8212, 0.1788, 0.7500)
C (0.0127, 0.2874, 0.8992)
C (0.2488, 0.5625, 0.6174)
C (0.2874, 0.0127, 0.3992)
C (0.4375, 0.7512, 0.8826)
C (0.5625, 0.2488, 0.1174)
C (0.7126, 0.9873, 0.6008)
C (0.7512, 0.4375, 0.3826)
C (0.9873, 0.7126, 0.1008)
O (0.0882, 0.4292, 0.8668)
O (0.0901, 0.2218, 0.9631)
O (0.1191, 0.1524, 0.2395)
O (0.1202, 0.4405, 0.6275)
O (0.1388, 0.7862, 0.1359)
O (0.1524, 0.1191, 0.7395)
O (0.2138, 0.8612, 0.3641)
O (0.2218, 0.0901, 0.4631)
O (0.2300, 0.4983, 0.2620)
O (0.3015, 0.6560, 0.6792)
O (0.3125, 0.5925, 0.5561)
O (0.3440, 0.6985, 0.8208)
O (0.4075, 0.6875, 0.9439)
O (0.4292, 0.0882, 0.3668)
O (0.4405, 0.1202, 0.1275)
O (0.4983, 0.2300, 0.7620)
O (0.5017, 0.7700, 0.2380)
O (0.5595, 0.8798, 0.8725)
O (0.5708, 0.9118, 0.6332)
O (0.5925, 0.3125, 0.0561)
O (0.6560, 0.3015, 0.1792)
O (0.6875, 0.4075, 0.4439)
O (0.6985, 0.3440, 0.3208)
O (0.7700, 0.5017, 0.7380)
O (0.7782, 0.9099, 0.5369)
O (0.7862, 0.1388, 0.6359)
O (0.8476, 0.8809, 0.2605)
O (0.8612, 0.2138, 0.8641)
O (0.8798, 0.5595, 0.3725)
O (0.8809, 0.8476, 0.7605)
O (0.9099, 0.7782, 0.0369)
O (0.9118, 0.5708, 0.1332)

The following is a calculated X-ray powder pattern of NaTlCO3. It was derived from a DFT-relaxed cell (GGA-PBE, Alexandria), using CuKα.
Intensities are scaled so that the largest is 1000.

Most intense lines, 15° ≤ 2θ ≤ 90°, sorted by position:
- 18.14°, I 321
- 22.86°, I 1000
- 27.78°, I 313
- 31.70°, I 590
- 33.38°, I 361
- 39.44°, I 514
- 42.64°, I 323
- 46.29°, I 176
- 46.69°, I 177
- 51.45°, I 336

Atomic structure:
Unit cell a=5.6460 b=5.6460 c=6.4231 alpha=90.00 beta=90.00 gamma=120.00
Fractional positions:
Na (0.0000, 0.0000, 0.0000)
Na (0.0000, 0.0000, 0.5000)
Tl (0.3333, 0.6667, 0.2500)
Tl (0.6667, 0.3333, 0.7500)
C (0.3333, 0.6667, 0.7500)
C (0.6667, 0.3333, 0.2500)
O (0.1995, 0.3991, 0.7500)
O (0.1995, 0.8005, 0.7500)
O (0.3991, 0.1995, 0.2500)
O (0.6009, 0.8005, 0.7500)
O (0.8005, 0.1995, 0.2500)
O (0.8005, 0.6009, 0.2500)

The following is a calculated X-ray powder pattern of Na2ZnCO4. It was derived from a DFT-relaxed cell (GGA-PBE, Alexandria), using CuKα.
Intensities are scaled so that the largest is 1000.

Most intense lines, 15° ≤ 2θ ≤ 90°, sorted by position:
- 18.39°, I 1000
- 20.11°, I 613
- 21.02°, I 145
- 31.03°, I 168
- 33.18°, I 621
- 40.49°, I 433
- 41.70°, I 191
- 45.93°, I 132
- 47.16°, I 123
- 56.59°, I 112

Atomic structure:
Unit cell a=10.8532 b=9.9463 c=5.5181 alpha=83.94 beta=65.69 gamma=30.37
Fractional positions:
Na (0.0660, 0.0660, 0.6840)
Na (0.3160, 0.3160, 0.9340)
Na (0.6840, 0.6840, 0.0660)
Na (0.9340, 0.9340, 0.3160)
Zn (0.1250, 0.1250, 0.1250)
Zn (0.8750, 0.8750, 0.8750)
C (0.3750, 0.3750, 0.3750)
C (0.6250, 0.6250, 0.6250)
O (0.0762, 0.5919, 0.5033)
O (0.3286, 0.5033, 0.5919)
O (0.4081, 0.9238, 0.6714)
O (0.4967, 0.6714, 0.9238)
O (0.5033, 0.3286, 0.0762)
O (0.5919, 0.0762, 0.3286)
O (0.6714, 0.4967, 0.4081)
O (0.9238, 0.4081, 0.4967)

The following is a calculated X-ray powder pattern of Na2PC2. It was derived from a DFT-relaxed cell (GGA-PBE, Alexandria), using CuKα.
Intensities are scaled so that the largest is 1000.

Most intense lines, 15° ≤ 2θ ≤ 90°, sorted by position:
- 37.72°, I 1000
- 40.67°, I 467
- 43.06°, I 673
- 49.46°, I 190
- 50.59°, I 225
- 65.89°, I 157
- 68.38°, I 149
- 84.78°, I 160
- 86.65°, I 162
- 88.25°, I 146

Atomic structure:
Unit cell a=9.0635 b=9.0635 c=9.0635 alpha=163.47 beta=163.47 gamma=23.46
Fractional positions:
Na (0.1249, 0.1249, 0.0000)
Na (0.8751, 0.8751, 0.0000)
P (0.5000, 0.5000, 0.0000)
C (0.2500, 0.7500, 0.5000)
C (0.7500, 0.2500, 0.5000)

The following is a calculated X-ray powder pattern of NaPaCS. It was derived from a DFT-relaxed cell (GGA-PBE, Alexandria), using CuKα.
Intensities are scaled so that the largest is 1000.

Most intense lines, 15° ≤ 2θ ≤ 90°, sorted by position:
- 25.59°, I 335
- 27.76°, I 1000
- 28.99°, I 323
- 32.06°, I 310
- 33.21°, I 197
- 33.86°, I 418
- 40.02°, I 177
- 44.84°, I 389
- 53.56°, I 165
- 56.92°, I 260

Atomic structure:
Unit cell a=11.0402 b=11.0402 c=11.0402 alpha=21.10 beta=21.10 gamma=21.10
Fractional positions:
Na (0.1968, 0.1968, 0.1968)
Na (0.8032, 0.8032, 0.8032)
Pa (0.3769, 0.3769, 0.3769)
Pa (0.6231, 0.6231, 0.6231)
C (0.3059, 0.3059, 0.3059)
C (0.6941, 0.6941, 0.6941)
S (0.1017, 0.1017, 0.1017)
S (0.8983, 0.8983, 0.8983)

The following is a calculated X-ray powder pattern of NaSr2RhC. It was derived from a DFT-relaxed cell (GGA-PBE, Alexandria), using CuKα.
Intensities are scaled so that the largest is 1000.

Most intense lines, 15° ≤ 2θ ≤ 90°, sorted by position:
- 15.69°, I 289
- 27.52°, I 81
- 31.68°, I 585
- 31.83°, I 1000
- 45.41°, I 209
- 45.85°, I 101
- 56.52°, I 384
- 56.80°, I 211
- 66.51°, I 129
- 75.26°, I 171

Atomic structure:
Unit cell a=5.6492 b=5.6492 c=3.9580 alpha=90.00 beta=90.00 gamma=90.00
Fractional positions:
Na (0.0000, 0.0000, 0.0000)
Sr (0.0000, 0.5000, 0.5000)
Sr (0.5000, 0.0000, 0.5000)
Rh (0.5000, 0.5000, 0.0000)
C (0.5000, 0.5000, 0.5000)

The following is a calculated X-ray powder pattern of Na2Sb2C. It was derived from a DFT-relaxed cell (GGA-PBE, Alexandria), using CuKα.
Intensities are scaled so that the largest is 1000.

Most intense lines, 15° ≤ 2θ ≤ 90°, sorted by position:
- 20.87°, I 478
- 30.14°, I 258
- 31.53°, I 268
- 31.96°, I 1000
- 36.95°, I 642
- 43.15°, I 263
- 44.18°, I 232
- 44.51°, I 244
- 48.40°, I 197
- 54.41°, I 225

Atomic structure:
Unit cell a=9.0142 b=9.0142 c=9.0142 alpha=153.10 beta=153.10 gamma=38.41
Fractional positions:
Na (0.0931, 0.0931, 0.0000)
Na (0.9069, 0.9069, 0.0000)
Sb (0.2500, 0.7500, 0.5000)
Sb (0.7500, 0.2500, 0.5000)
C (0.5000, 0.5000, 0.0000)

- What is the formula in the fourth record?
  Na2PC2